The following is a theoretical powder X-ray diffraction pattern of Sr2AcCrO5. It was derived from DFT lattice parameters and positions (GGA+U), using Cu Kα X-rays.
Intensities are scaled so that the largest is 1000.

Most intense lines, 15° ≤ 2θ ≤ 90°, sorted by position:
Position (°2θ)	intensity
23.79	406
30.06	301
30.27	1000
37.25	252
37.38	247
41.99	265
48.69	218
52.49	177
53.50	195
56.25	162
60.85	162
69.37	156

Structural model:
Cell: 6.8049 6.8049 11.8922 Å, 90.00 90.00 90.00°
Space group I4/mcm (No. 140)
Inequivalent atoms, fractional coordinates:
1 Sr 0.1719 0.3281 0.0000
2 Ac 0.0000 0.0000 0.2500
3 Cr 0.0000 0.5000 0.2500
4 O 0.0000 0.0000 0.0000
5 O 0.1480 0.3520 0.3536